(1)
Calculated PXRD pattern
Compound: BeO
Radiation: Cu Kα (weighted mean of Kα1 and Kα2)
Structure: a structure optimized by DFT (PBE)
Lines closer than 0.1° are merged.

Cell and atoms:
Cell: 3.824 3.824 3.824 Å, 90.00 90.00 90.00°
Fractional positions:
1 Be 0.000 0.000 0.000
2 Be 0.000 0.500 0.500
3 Be 0.500 0.000 0.500
4 Be 0.500 0.500 0.000
5 O 0.250 0.250 0.250
6 O 0.250 0.750 0.750
7 O 0.750 0.250 0.750
8 O 0.750 0.750 0.250

Most intense lines, 5 to 70 degrees two-theta, by angle:
40.87 deg, I = 100
47.56 deg, I = 14
69.53 deg, I = 35

---

(2)
Calculated PXRD pattern
Compound: BeOsO3
Radiation: Cu Kα (weighted mean of Kα1 and Kα2)
Structure: a structure optimized by DFT (PBE)
Lines closer than 0.1° are merged.

Cell and atoms:
Cell: 3.437 3.437 3.437 Å, 90.00 90.00 90.00°
Fractional positions:
1 Be 0.000 0.000 0.000
2 Os 0.500 0.500 0.500
3 O 0.000 0.000 0.500
4 O 0.000 0.500 0.000
5 O 0.500 0.000 0.000

Most intense lines, 5 to 70 degrees two-theta, by angle:
25.92 deg, I = 100
36.98 deg, I = 95
45.72 deg, I = 58
53.30 deg, I = 30
60.20 deg, I = 43
66.64 deg, I = 36

---

(3)
Calculated PXRD pattern
Compound: BeP2O6
Radiation: Cu Kα (weighted mean of Kα1 and Kα2)
Structure: a structure optimized by DFT (PBE)
Lines closer than 0.1° are merged.

Cell and atoms:
Cell: 7.219 7.219 8.892 Å, 90.00 90.00 90.92°
Fractional positions:
1 Be 0.135 0.328 0.222
2 Be 0.328 0.135 0.778
3 Be 0.672 0.865 0.278
4 Be 0.865 0.672 0.722
5 P 0.091 0.909 0.250
6 P 0.155 0.610 0.476
7 P 0.390 0.845 0.024
8 P 0.432 0.432 0.000
9 P 0.568 0.568 0.500
10 P 0.610 0.155 0.524
11 P 0.845 0.390 0.976
12 P 0.909 0.091 0.750
13 O 0.032 0.639 0.607
14 O 0.107 0.456 0.371
15 O 0.109 0.145 0.732
16 O 0.145 0.109 0.268
17 O 0.183 0.805 0.390
18 O 0.195 0.817 0.110
19 O 0.327 0.391 0.141
20 O 0.356 0.586 0.548
21 O 0.361 0.968 0.893
22 O 0.391 0.327 0.859
23 O 0.414 0.644 0.952
24 O 0.456 0.107 0.629
25 O 0.544 0.893 0.129
26 O 0.586 0.356 0.452
27 O 0.609 0.673 0.359
28 O 0.639 0.032 0.393
29 O 0.644 0.414 0.048
30 O 0.673 0.609 0.641
31 O 0.805 0.183 0.610
32 O 0.817 0.195 0.890
33 O 0.855 0.891 0.768
34 O 0.891 0.855 0.232
35 O 0.893 0.544 0.871
36 O 0.968 0.361 0.107

Most intense lines, 5 to 70 degrees two-theta, by angle:
15.81 deg, I = 24
17.51 deg, I = 9
20.18 deg, I = 15
23.50 deg, I = 53
26.49 deg, I = 15
26.66 deg, I = 100
29.26 deg, I = 9
41.23 deg, I = 6
44.43 deg, I = 5
44.80 deg, I = 6
48.75 deg, I = 5
50.59 deg, I = 10

---

(4)
Calculated PXRD pattern
Compound: BeP2O6
Radiation: Cu Kα (weighted mean of Kα1 and Kα2)
Structure: a structure optimized by DFT (PBE)
Lines closer than 0.1° are merged.

Cell and atoms:
Cell: 4.963 13.081 7.312 Å, 90.00 112.73 90.00°
Fractional positions:
1 Be 0.147 0.067 0.266
2 Be 0.147 0.433 0.766
3 Be 0.853 0.567 0.234
4 Be 0.853 0.933 0.734
5 P 0.453 0.651 0.415
6 P 0.453 0.849 0.915
7 P 0.475 0.630 0.829
8 P 0.475 0.870 0.329
9 P 0.525 0.130 0.671
10 P 0.525 0.370 0.171
11 P 0.547 0.151 0.085
12 P 0.547 0.349 0.585
13 O 0.206 0.577 0.337
14 O 0.206 0.923 0.837
15 O 0.237 0.552 0.768
16 O 0.237 0.948 0.268
17 O 0.253 0.113 0.491
18 O 0.253 0.387 0.991
19 O 0.290 0.136 0.141
20 O 0.290 0.364 0.641
21 O 0.322 0.736 0.852
22 O 0.322 0.764 0.352
23 O 0.419 0.155 0.847
24 O 0.419 0.345 0.347
25 O 0.581 0.655 0.653
26 O 0.581 0.845 0.153
27 O 0.678 0.236 0.648
28 O 0.678 0.264 0.148
29 O 0.710 0.636 0.359
30 O 0.710 0.864 0.859
31 O 0.747 0.613 0.009
32 O 0.747 0.887 0.509
33 O 0.763 0.052 0.732
34 O 0.763 0.448 0.232
35 O 0.794 0.077 0.163
36 O 0.794 0.423 0.663

Most intense lines, 5 to 70 degrees two-theta, by angle:
19.39 deg, I = 96
23.20 deg, I = 31
23.73 deg, I = 19
24.31 deg, I = 8
26.07 deg, I = 10
26.96 deg, I = 37
27.29 deg, I = 100
27.83 deg, I = 8
28.30 deg, I = 8
33.31 deg, I = 12
33.67 deg, I = 31
39.68 deg, I = 12

---

(5)
Calculated PXRD pattern
Compound: Be2P2O7
Radiation: Cu Kα (weighted mean of Kα1 and Kα2)
Structure: a structure optimized by DFT (PBE)
Lines closer than 0.1° are merged.

Cell and atoms:
Cell: 4.983 4.983 8.891 Å, 103.62 103.62 96.16°
Fractional positions:
1 Be 0.109 0.772 0.527
2 Be 0.228 0.891 0.973
3 Be 0.772 0.109 0.027
4 Be 0.891 0.228 0.473
5 P 0.294 0.312 0.796
6 P 0.312 0.294 0.296
7 P 0.688 0.706 0.704
8 P 0.706 0.688 0.204
9 O 0.078 0.149 0.635
10 O 0.102 0.387 0.391
11 O 0.149 0.078 0.135
12 O 0.197 0.555 0.895
13 O 0.387 0.102 0.891
14 O 0.428 0.572 0.250
15 O 0.445 0.803 0.605
16 O 0.555 0.197 0.395
17 O 0.572 0.428 0.750
18 O 0.613 0.898 0.109
19 O 0.803 0.445 0.105
20 O 0.851 0.922 0.865
21 O 0.898 0.613 0.609
22 O 0.922 0.851 0.365

Most intense lines, 5 to 70 degrees two-theta, by angle:
18.78 deg, I = 14
21.36 deg, I = 41
24.00 deg, I = 68
28.65 deg, I = 23
29.13 deg, I = 100
32.14 deg, I = 71
32.34 deg, I = 79
38.09 deg, I = 27
42.14 deg, I = 23
42.80 deg, I = 30
49.78 deg, I = 17
64.18 deg, I = 23